Entry 1:
Te2PbN2: theoretical powder XRD pattern (Cu Kα (weighted mean of Kα1 and Kα2)), based on the PBE geometry in Alexandria.
Lines closer than 0.1° are merged.

Largest 6 diffraction maxima, sorted by position, 10° ≤ 2θ ≤ 80°:
(1 0 1), 2θ = 25.3°, rel. 67; (0 0 2), 2θ = 29.2°, rel. 66; (1 1 0), 2θ = 29.3°, rel. 100; (1 1 2), 2θ = 41.8°, rel. 78; (2 0 0), 2θ = 42.0°, rel. 49; (2 0 2), 2θ = 51.9°, rel. 52

Structure:
```
data_Te2PbN2
_chemical_formula_sum 'Te2 Pb1 N2'
_cell_length_a 4.3072
_cell_length_b 4.3072
_cell_length_c 6.1265
_cell_angle_alpha 90.00
_cell_angle_beta 90.00
_cell_angle_gamma 90.00
_symmetry_space_group_name_H-M 'P 4/m m m'
_symmetry_Int_Tables_number 123
_symmetry_space_group_name_Hall '-P 4 2'
loop_
_atom_site_label
_atom_site_fract_x
_atom_site_fract_y
_atom_site_fract_z
Te1 0.0000 0.0000 0.0000
Te2 0.0000 0.0000 0.5000
Pb1 0.5000 0.5000 0.0000
N1 0.0000 0.5000 0.5000
```

***

Entry 2:
Th3PbN3: theoretical powder XRD pattern (Cu Kα (weighted mean of Kα1 and Kα2)), based on the PBE geometry in Alexandria.
Lines closer than 0.1° are merged.

Largest 6 diffraction maxima, sorted by position, 10° ≤ 2θ ≤ 80°:
(2 0 -4), 2θ = 28.7°, rel. 47; (4 0 0), 2θ = 28.8°, rel. 53; (3 1 -2), 2θ = 29.4°, rel. 100; (1 1 2), 2θ = 30.7°, rel. 84; (0 2 0), 2θ = 45.0°, rel. 22; (4 2 0), 2θ = 54.3°, rel. 35

Structure:
```
data_Th3PbN3
_chemical_formula_sum 'Th12 Pb4 N12'
_cell_length_a 14.4231
_cell_length_b 4.0314
_cell_length_c 12.5016
_cell_angle_alpha 90.00
_cell_angle_beta 120.79
_cell_angle_gamma 90.00
_symmetry_space_group_name_H-M 'C 1 2/m 1'
_symmetry_Int_Tables_number 12
loop_
_symmetry_equiv_pos_as_xyz
'x,y,z'
'-x,-y,-z'
'-x,y,-z'
'x,-y,z'
'x+1/2,y+1/2,z'
'-x+1/2,-y+1/2,-z'
'-x+1/2,y+1/2,-z'
'x+1/2,-y+1/2,z'
loop_
_atom_site_label
_atom_site_fract_x
_atom_site_fract_y
_atom_site_fract_z
Th1 0.1263 0.0000 0.4339
Th2 0.1273 0.0000 0.9009
Th3 0.1505 0.5000 0.2001
Pb1 0.1096 0.5000 0.6625
N1 0.0635 0.0000 0.1980
N2 0.1707 0.5000 0.0164
N3 0.1930 0.5000 0.4051
```

***

Entry 3:
Ti2Pb5N6: theoretical powder XRD pattern (Cu Kα (weighted mean of Kα1 and Kα2)), based on the PBE geometry in Alexandria.
Lines closer than 0.1° are merged.

Largest 6 diffraction maxima, sorted by position, 10° ≤ 2θ ≤ 80°:
(0 2 2), 2θ = 25.7°, rel. 100; (1 1 -4), 2θ = 28.0°, rel. 48; (3 1 0), 2θ = 30.9°, rel. 28; (2 0 4), 2θ = 31.0°, rel. 52; (2 2 2), 2θ = 32.3°, rel. 47; (3 1 -2), 2θ = 32.9°, rel. 26

Structure:
```
data_Ti2Pb5N6
_chemical_formula_sum 'Ti8 Pb20 N24'
_cell_length_a 9.3604
_cell_length_b 7.8212
_cell_length_c 14.9065
_cell_angle_alpha 90.00
_cell_angle_beta 91.24
_cell_angle_gamma 90.00
_symmetry_space_group_name_H-M 'C 1 2/c 1'
_symmetry_Int_Tables_number 15
loop_
_symmetry_equiv_pos_as_xyz
'x,y,z'
'-x,-y,-z'
'-x,y,-z+1/2'
'x,-y,z+1/2'
'x+1/2,y+1/2,z'
'-x+1/2,-y+1/2,-z'
'-x+1/2,y+1/2,-z+1/2'
'x+1/2,-y+1/2,z+1/2'
loop_
_atom_site_label
_atom_site_fract_x
_atom_site_fract_y
_atom_site_fract_z
Ti1 0.2383 0.1419 0.4262
Pb1 0.0000 0.4938 0.2500
Pb2 0.0548 0.2463 0.9881
Pb3 0.1430 0.0350 0.6743
N1 0.0623 0.0204 0.4056
N2 0.0965 0.3251 0.6506
N3 0.1910 0.3762 0.4513
```

***

Entry 4:
TiPb4N4: theoretical powder XRD pattern (Cu Kα (weighted mean of Kα1 and Kα2)), based on the PBE geometry in Alexandria.
Lines closer than 0.1° are merged.

Largest 6 diffraction maxima, sorted by position, 10° ≤ 2θ ≤ 80°:
(0 0 2), 2θ = 20.7°, rel. 64; (2 2 -1), 2θ = 26.2°, rel. 89; (2 2 -2), 2θ = 28.6°, rel. 100; (1 1 -3), 2θ = 29.6°, rel. 78; (1 3 -1), 2θ = 31.6°, rel. 45; (1 3 1), 2θ = 34.7°, rel. 59

Structure:
```
data_TiPb4N4
_chemical_formula_sum 'Ti4 Pb16 N16'
_cell_length_a 10.4873
_cell_length_b 8.9704
_cell_length_c 9.7787
_cell_angle_alpha 90.00
_cell_angle_beta 118.53
_cell_angle_gamma 90.00
_symmetry_space_group_name_H-M 'C 1 2/c 1'
_symmetry_Int_Tables_number 15
loop_
_symmetry_equiv_pos_as_xyz
'x,y,z'
'-x,-y,-z'
'-x,y,-z+1/2'
'x,-y,z+1/2'
'x+1/2,y+1/2,z'
'-x+1/2,-y+1/2,-z'
'-x+1/2,y+1/2,-z+1/2'
'x+1/2,-y+1/2,z+1/2'
loop_
_atom_site_label
_atom_site_fract_x
_atom_site_fract_y
_atom_site_fract_z
Ti1 0.0000 0.2264 0.2500
Pb1 0.1468 0.4362 0.9698
Pb2 0.1537 0.2050 0.6064
N1 0.0240 0.3581 0.1058
N2 0.1738 0.1160 0.3838
```

***

Entry 5:
Ti5Pb3N: theoretical powder XRD pattern (Cu Kα (weighted mean of Kα1 and Kα2)), based on the PBE geometry in Alexandria.
Lines closer than 0.1° are merged.

Largest 6 diffraction maxima, sorted by position, 10° ≤ 2θ ≤ 80°:
(2 0 0), 2θ = 25.0°, rel. 34; (1 1 1), 2θ = 27.0°, rel. 100; (0 0 2), 2θ = 32.3°, rel. 34; (2 1 1), 2θ = 37.1°, rel. 92; (1 1 2), 2θ = 39.2°, rel. 42; (3 1 1), 2θ = 48.9°, rel. 46

Structure:
```
data_Ti5Pb3N
_chemical_formula_sum 'Ti10 Pb6 N2'
_cell_length_a 8.2322
_cell_length_b 8.2322
_cell_length_c 5.5461
_cell_angle_alpha 90.00
_cell_angle_beta 90.00
_cell_angle_gamma 120.00
_symmetry_space_group_name_H-M 'P 63/m c m'
_symmetry_Int_Tables_number 193
_symmetry_space_group_name_Hall '-P 6c 2'
loop_
_atom_site_label
_atom_site_fract_x
_atom_site_fract_y
_atom_site_fract_z
Ti1 0.0000 0.2011 0.2500
Ti2 0.3333 0.6667 0.0000
Pb1 0.0000 0.4020 0.7500
N1 0.0000 0.0000 0.0000
```

***

Entry 6:
TlPb4N2: theoretical powder XRD pattern (Cu Kα (weighted mean of Kα1 and Kα2)), based on the PBE geometry in Alexandria.
Lines closer than 0.1° are merged.

Largest 6 diffraction maxima, sorted by position, 10° ≤ 2θ ≤ 80°:
(1 0 2), 2θ = 28.0°, rel. 100; (1 0 -3), 2θ = 28.7°, rel. 82; (2 0 -1), 2θ = 29.8°, rel. 85; (1 1 0), 2θ = 30.6°, rel. 61; (1 1 -1), 2θ = 30.7°, rel. 64; (0 1 2), 2θ = 32.7°, rel. 54

Structure:
```
data_TlPb4N2
_chemical_formula_sum 'Tl1 Pb4 N2'
_cell_length_a 6.0017
_cell_length_b 3.3969
_cell_length_c 9.6569
_cell_angle_alpha 90.00
_cell_angle_beta 106.69
_cell_angle_gamma 90.00
_symmetry_space_group_name_H-M 'P 1 2/m 1'
_symmetry_Int_Tables_number 10
loop_
_symmetry_equiv_pos_as_xyz
'x,y,z'
'-x,-y,-z'
'-x,y,-z'
'x,-y,z'
loop_
_atom_site_label
_atom_site_fract_x
_atom_site_fract_y
_atom_site_fract_z
Tl1 0.0000 0.0000 0.0000
Pb1 0.2085 0.0000 0.4125
Pb2 0.4038 0.5000 0.8110
N1 0.2813 0.5000 0.5743
```

***

Entry 7:
TlPbN: theoretical powder XRD pattern (Cu Kα (weighted mean of Kα1 and Kα2)), based on the PBE geometry in Alexandria.
Lines closer than 0.1° are merged.

Largest 6 diffraction maxima, sorted by position, 10° ≤ 2θ ≤ 80°:
(0 0 4), 2θ = 28.0°, rel. 85; (2 0 -1), 2θ = 28.5°, rel. 100; (2 0 -2), 2θ = 30.0°, rel. 53; (1 1 -2), 2θ = 30.8°, rel. 71; (1 1 2), 2θ = 32.9°, rel. 63; (0 2 0), 2θ = 50.3°, rel. 58

Structure:
```
data_TlPbN
_chemical_formula_sum 'Tl4 Pb4 N4'
_cell_length_a 6.2799
_cell_length_b 3.6248
_cell_length_c 12.9353
_cell_angle_alpha 90.00
_cell_angle_beta 99.51
_cell_angle_gamma 90.00
_symmetry_space_group_name_H-M 'C 1 m 1'
_symmetry_Int_Tables_number 8
loop_
_symmetry_equiv_pos_as_xyz
'x,y,z'
'x,-y,z'
'x+1/2,y+1/2,z'
'x+1/2,-y+1/2,z'
loop_
_atom_site_label
_atom_site_fract_x
_atom_site_fract_y
_atom_site_fract_z
Tl1 0.0000 0.0000 0.0000
Tl2 0.0818 0.5000 0.7532
Pb1 0.2365 0.5000 0.2372
Pb2 0.3270 0.5000 0.4937
N1 0.0206 0.5000 0.5730
N2 0.4362 0.5000 0.8160
```

***

Entry 8:
VPb4N4: theoretical powder XRD pattern (Cu Kα (weighted mean of Kα1 and Kα2)), based on the PBE geometry in Alexandria.
Lines closer than 0.1° are merged.

Largest 6 diffraction maxima, sorted by position, 10° ≤ 2θ ≤ 80°:
(0 2 1), 2θ = 25.2°, rel. 100; (2 0 0), 2θ = 28.8°, rel. 99; (1 1 -2), 2θ = 29.6°, rel. 84; (2 2 1), 2θ = 32.2°, rel. 66; (1 -1 2), 2θ = 33.9°, rel. 78; (2 0 -2), 2θ = 35.6°, rel. 54

Structure:
```
data_VPb4N4
_chemical_formula_sum 'V2 Pb8 N8'
_cell_length_a 6.5189
_cell_length_b 7.4754
_cell_length_c 8.7032
_cell_angle_alpha 72.66
_cell_angle_beta 86.45
_cell_angle_gamma 72.19
_symmetry_space_group_name_H-M 'P -1'
_symmetry_Int_Tables_number 2
loop_
_symmetry_equiv_pos_as_xyz
'x,y,z'
'-x,-y,-z'
loop_
_atom_site_label
_atom_site_fract_x
_atom_site_fract_y
_atom_site_fract_z
V1 0.2218 0.2419 0.2549
Pb1 0.1687 0.3880 0.8642
Pb2 0.2281 0.5946 0.4131
Pb3 0.2715 0.9998 0.6070
Pb4 0.3025 0.7383 0.0069
N1 0.0039 0.7070 0.8905
N2 0.0958 0.3300 0.4256
N3 0.3777 0.9903 0.3436
N4 0.3944 0.3900 0.1507
```

***

Entry 9:
Y3Pb3N5: theoretical powder XRD pattern (Cu Kα (weighted mean of Kα1 and Kα2)), based on the PBE geometry in Alexandria.
Lines closer than 0.1° are merged.

Largest 6 diffraction maxima, sorted by position, 10° ≤ 2θ ≤ 80°:
(-1 1 2), 2θ = 23.8°, rel. 31; (2 0 0), 2θ = 27.7°, rel. 42; (1 2 2), 2θ = 30.4°, rel. 100; (2 1 0), 2θ = 30.5°, rel. 22; (0 2 -1), 2θ = 30.6°, rel. 91; (-1 2 2), 2θ = 31.3°, rel. 32

Structure:
```
data_Y3Pb3N5
_chemical_formula_sum 'Y6 Pb6 N10'
_cell_length_a 6.4394
_cell_length_b 6.9986
_cell_length_c 10.3315
_cell_angle_alpha 73.06
_cell_angle_beta 88.89
_cell_angle_gamma 88.09
_symmetry_space_group_name_H-M 'P -1'
_symmetry_Int_Tables_number 2
loop_
_symmetry_equiv_pos_as_xyz
'x,y,z'
'-x,-y,-z'
loop_
_atom_site_label
_atom_site_fract_x
_atom_site_fract_y
_atom_site_fract_z
Y1 0.1607 0.4496 0.2298
Y2 0.1810 0.1618 0.9255
Y3 0.2745 0.5397 0.5742
Pb1 0.2173 0.0729 0.5586
Pb2 0.2515 0.8701 0.2623
Pb3 0.3482 0.6820 0.8967
N1 0.0324 0.7778 0.6079
N2 0.0825 0.2914 0.7032
N3 0.1764 0.8259 0.0502
N4 0.2947 0.3630 0.0409
N5 0.3905 0.5390 0.3569
```

***

Entry 10:
Y3PbN: theoretical powder XRD pattern (Cu Kα (weighted mean of Kα1 and Kα2)), based on the PBE geometry in Alexandria.
Lines closer than 0.1° are merged.

Largest 6 diffraction maxima, sorted by position, 10° ≤ 2θ ≤ 80°:
(1 1 2), 2θ = 30.6°, rel. 100; (3 0 -2), 2θ = 30.9°, rel. 69; (1 1 -3), 2θ = 31.9°, rel. 41; (0 1 3), 2θ = 34.3°, rel. 31; (2 2 -1), 2θ = 34.8°, rel. 65; (2 1 -4), 2θ = 41.3°, rel. 49

Structure:
```
data_Y3PbN
_chemical_formula_sum 'Y12 Pb4 N4'
_cell_length_a 8.9551
_cell_length_b 6.3060
_cell_length_c 9.4108
_cell_angle_alpha 90.00
_cell_angle_beta 113.84
_cell_angle_gamma 90.00
_symmetry_space_group_name_H-M 'P 1 21/c 1'
_symmetry_Int_Tables_number 14
loop_
_symmetry_equiv_pos_as_xyz
'x,y,z'
'-x,-y,-z'
'-x,y+1/2,-z+1/2'
'x,-y+1/2,z+1/2'
loop_
_atom_site_label
_atom_site_fract_x
_atom_site_fract_y
_atom_site_fract_z
Y1 0.0472 0.0786 0.3521
Y2 0.1806 0.5768 0.5349
Y3 0.3457 0.1484 0.7564
Pb1 0.3740 0.6738 0.8836
N1 0.0729 0.2494 0.0905
```

***

Entry 11:
Y2Pb3N4: theoretical powder XRD pattern (Cu Kα (weighted mean of Kα1 and Kα2)), based on the PBE geometry in Alexandria.
Lines closer than 0.1° are merged.

Largest 6 diffraction maxima, sorted by position, 10° ≤ 2θ ≤ 80°:
(1 1 0), 2θ = 11.8°, rel. 41; (3 1 -1), 2θ = 26.7°, rel. 100; (2 2 1), 2θ = 28.2°, rel. 47; (1 3 1), 2θ = 30.8°, rel. 93; (2 2 -2), 2θ = 32.5°, rel. 47; (1 1 -3), 2θ = 38.3°, rel. 43

Structure:
```
data_Y2Pb3N4
_chemical_formula_sum 'Y8 Pb12 N16'
_cell_length_a 11.2207
_cell_length_b 10.1822
_cell_length_c 7.2576
_cell_angle_alpha 90.00
_cell_angle_beta 99.93
_cell_angle_gamma 90.00
_symmetry_space_group_name_H-M 'C 1 2/c 1'
_symmetry_Int_Tables_number 15
loop_
_symmetry_equiv_pos_as_xyz
'x,y,z'
'-x,-y,-z'
'-x,y,-z+1/2'
'x,-y,z+1/2'
'x+1/2,y+1/2,z'
'-x+1/2,-y+1/2,-z'
'-x+1/2,y+1/2,-z+1/2'
'x+1/2,-y+1/2,z+1/2'
loop_
_atom_site_label
_atom_site_fract_x
_atom_site_fract_y
_atom_site_fract_z
Y1 0.2288 0.0912 0.4475
Pb1 0.0000 0.0865 0.7500
Pb2 0.0954 0.2824 0.1007
N1 0.1142 0.2755 0.4317
N2 0.1455 0.0487 0.1373
```

***

Entry 12:
ZnPb2N2: theoretical powder XRD pattern (Cu Kα (weighted mean of Kα1 and Kα2)), based on the PBE geometry in Alexandria.
Lines closer than 0.1° are merged.

Largest 6 diffraction maxima, sorted by position, 10° ≤ 2θ ≤ 80°:
(0 2 0), 2θ = 15.4°, rel. 86; (0 0 2), 2θ = 26.4°, rel. 28; (1 0 1), 2θ = 27.8°, rel. 43; (0 2 2), 2θ = 30.7°, rel. 45; (1 2 1), 2θ = 31.9°, rel. 100; (1 4 1), 2θ = 42.1°, rel. 31

Structure:
```
data_ZnPb2N2
_chemical_formula_sum 'Zn2 Pb4 N4'
_cell_length_a 3.6534
_cell_length_b 11.5330
_cell_length_c 6.7553
_cell_angle_alpha 90.00
_cell_angle_beta 90.00
_cell_angle_gamma 90.00
_symmetry_space_group_name_H-M 'P m m n'
_symmetry_Int_Tables_number 59
loop_
_symmetry_equiv_pos_as_xyz
'x,y,z'
'-x,-y,-z'
'-x+1/2,-y+1/2,z'
'x+1/2,y+1/2,-z'
'x+1/2,-y,-z'
'-x+1/2,y,z'
'-x,y+1/2,-z'
'x,-y+1/2,z'
loop_
_atom_site_label
_atom_site_fract_x
_atom_site_fract_y
_atom_site_fract_z
Zn1 0.2500 0.2500 0.1102
Pb1 0.2500 0.0112 0.7741
N1 0.2500 0.0913 0.0977
```